Computed PXRD pattern of Zr2Cu2SiGeAs2 for Cu Kα, from a GGA-PBE-relaxed structure.

Structure:
abc: 3.7093 3.7093 9.6714
angles: 90.00 90.00 90.00
Atoms (fractional coordinates):
Zr (0.0000, 0.5000, 0.2249)
Zr (0.5000, 0.0000, 0.7751)
Cu (0.0000, 0.0000, 0.5000)
Cu (0.5000, 0.5000, 0.5000)
Si (0.5000, 0.5000, 0.0000)
Ge (0.0000, 0.0000, 0.0000)
As (0.0000, 0.5000, 0.6775)
As (0.5000, 0.0000, 0.3225)

Peak list (12 most intense, 2θ = 10–90°, by intensity)
- 39.07 deg, I = 100.0
- 49.12 deg, I = 32.6
- 30.37 deg, I = 26.1
- 85.11 deg, I = 19.7
- 44.74 deg, I = 17.8
- 37.19 deg, I = 13.7
- 63.18 deg, I = 10.8
- 72.01 deg, I = 10.0
- 68.61 deg, I = 9.7
- 36.94 deg, I = 8.9
- 53.42 deg, I = 8.3
- 58.85 deg, I = 7.7

Computed PXRD pattern of Co11W2 for Cu Kα, from a GGA-PBE-relaxed structure.

Structure:
abc: 8.7360 8.7360 8.7360
angles: 30.60 30.60 30.60
Atoms (fractional coordinates):
Co (0.0000, 0.0000, 0.0000)
Co (0.0925, 0.0925, 0.5863)
Co (0.0925, 0.5863, 0.0925)
Co (0.1653, 0.1653, 0.1653)
Co (0.3457, 0.3457, 0.3457)
Co (0.4137, 0.9076, 0.9076)
Co (0.5863, 0.0925, 0.0924)
Co (0.6543, 0.6543, 0.6543)
Co (0.8347, 0.8347, 0.8347)
Co (0.9076, 0.4137, 0.9076)
Co (0.9076, 0.9075, 0.4137)
W (0.4499, 0.4499, 0.4499)
W (0.5501, 0.5501, 0.5501)

Peak list (12 most intense, 2θ = 10–90°, by intensity)
- 46.02 deg, I = 100.0
- 39.08 deg, I = 87.6
- 42.72 deg, I = 80.2
- 45.59 deg, I = 67.7
- 51.55 deg, I = 47.6
- 22.55 deg, I = 40.3
- 23.39 deg, I = 39.0
- 44.96 deg, I = 34.3
- 83.96 deg, I = 31.4
- 75.69 deg, I = 30.6
- 49.15 deg, I = 30.4
- 73.30 deg, I = 30.1

Computed PXRD pattern of Na2Sc2Al2PtAu for Cu Kα, from a GGA-PBE-relaxed structure.

Structure:
abc: 4.6583 4.6583 6.6029
angles: 90.00 90.00 90.00
Atoms (fractional coordinates):
Na (0.0000, 0.0000, 0.0000)
Na (0.5000, 0.5000, 0.5000)
Sc (0.0000, 0.5000, 0.2436)
Sc (0.5000, 0.0000, 0.7564)
Al (0.0000, 0.5000, 0.7580)
Al (0.5000, 0.0000, 0.2420)
Pt (0.5000, 0.5000, 0.0000)
Au (0.0000, 0.0000, 0.5000)

Peak list (12 most intense, 2θ = 10–90°, by intensity)
- 38.63 deg, I = 100.0
- 23.37 deg, I = 83.0
- 45.64 deg, I = 44.1
- 69.90 deg, I = 33.9
- 27.05 deg, I = 31.9
- 61.29 deg, I = 18.8
- 55.82 deg, I = 11.3
- 74.87 deg, I = 10.8
- 87.59 deg, I = 10.2
- 47.79 deg, I = 9.8
- 63.03 deg, I = 8.8
- 82.79 deg, I = 7.1